Structure and simulated X-ray powder pattern of PaSb3 (a structure optimized by DFT (GGA-PBE); Cu Kα (weighted mean of Kα1 and Kα2)).
Peak positions follow from Bragg's law for the DFT cell and can differ from measured ones.

Cell and atoms:
```
data_PaSb3
_symmetry_space_group_name_H-M 'P 63/m m c'
_symmetry_Int_Tables_number 194
_symmetry_space_group_name_Hall '-P 6c 2c'
_cell_length_a 6.3666
_cell_length_b 6.3666
_cell_length_c 5.9945
_cell_angle_alpha 90.00
_cell_angle_beta 90.00
_cell_angle_gamma 120.00
loop_
_atom_site_label
_atom_site_type_symbol
_atom_site_fract_x
_atom_site_fract_y
_atom_site_fract_z
Pa1 Pa 0.3333 0.6667 0.2500
Sb1 Sb 0.1713 0.3426 0.7500
```

Main lines, in order of rising 2θ (2θ from 10° to 80°):
h k l  d (Å)  I_rel
1 0 0  5.514  5
1 0 1  4.058  9
0 0 2  2.997  36
2 0 0  2.757  22
2 0 1  2.505  100
2 0 2  2.029  18
2 0 3  1.618  26
2 2 0  1.592  16
2 2 2  1.406  22
4 0 1  1.343  14

---

Structure and simulated X-ray powder pattern of Sm2Ga9Co3 (a structure optimized by DFT (GGA-PBE); Cu Kα (weighted mean of Kα1 and Kα2)).
Peak positions follow from Bragg's law for the DFT cell and can differ from measured ones.

Cell and atoms:
```
data_Sm2Ga9Co3
_symmetry_space_group_name_H-M 'C m c m'
_symmetry_Int_Tables_number 63
_symmetry_space_group_name_Hall '-C 2c 2'
_cell_length_a 12.804
_cell_length_b 7.448
_cell_length_c 9.509
_cell_angle_alpha 90.00
_cell_angle_beta 90.00
_cell_angle_gamma 90.00
loop_
_atom_site_label
_atom_site_type_symbol
_atom_site_fract_x
_atom_site_fract_y
_atom_site_fract_z
Sm1 Sm 0.164 0.167 0.250
Ga1 Ga 0.000 0.123 0.750
Ga2 Ga 0.000 0.335 0.055
Ga3 Ga 0.106 0.443 0.750
Ga4 Ga 0.166 0.168 0.571
Co1 Co 0.000 0.000 0.000
Co2 Co 0.171 0.500 0.000
```

Main lines, in order of rising 2θ (2θ from 10° to 80°):
h k l  d (Å)  I_rel
3 1 3  2.410  100
0 0 4  2.377  17
4 2 1  2.351  14
3 3 0  2.146  46
6 0 0  2.134  23
4 2 3  1.927  9
6 2 3  1.599  10
3 5 3  1.285  11
6 4 3  1.283  11
9 1 3  1.279  11